Diffraction record for Na3CoBAsO7. The XRD peak list is simulated, not measured: it uses a structure optimized by DFT (PBE+U) and copper Kα.

Structure:
```
data_Na3CoBAsO7
_chemical_formula_sum 'Na12 Co4 B4 As4 O28'
_cell_length_a 8.6508
_cell_length_b 8.6589
_cell_length_c 9.0971
_cell_angle_alpha 90.97
_cell_angle_beta 90.83
_cell_angle_gamma 104.82
_space_group_name_H-M_alt 'P 1'
_space_group_IT_number 1
_space_group_name_Hall 'P 1'
loop_
_atom_site_label
_atom_site_type_symbol
_atom_site_fract_x
_atom_site_fract_y
_atom_site_fract_z
_atom_site_occupancy
Na1 Na 0.0000 0.0000 0.0000 1
Na2 Na 0.0035 0.4968 0.4920 1
Na3 Na 0.2501 0.7477 0.9991 1
Na4 Na 0.2540 0.2504 0.4887 1
Na5 Na 0.3741 0.6194 0.3263 1
Na6 Na 0.3871 0.1342 0.1595 1
Na7 Na 0.4979 0.4984 0.0001 1
Na8 Na 0.5036 0.9989 0.4914 1
Na9 Na 0.7486 0.2472 0.9973 1
Na10 Na 0.7514 0.7517 0.4905 1
Na11 Na 0.8685 0.1199 0.3265 1
Na12 Na 0.8815 0.6293 0.1649 1
Co1 Co 0.1073 0.8532 0.5729 1
Co2 Co 0.1400 0.3887 0.9092 1
Co3 Co 0.6146 0.3606 0.5759 1
Co4 Co 0.6400 0.8887 0.9094 1
B1 B 0.1207 0.3690 0.1798 1
B2 B 0.1403 0.8873 0.3131 1
B3 B 0.6216 0.8699 0.1797 1
B4 B 0.6346 0.3822 0.3065 1
As1 As 0.3568 0.1042 0.8162 1
As2 As 0.3945 0.6392 0.6667 1
As3 As 0.8615 0.6096 0.8211 1
As4 As 0.8924 0.1421 0.6666 1
O1 O 0.0215 0.7687 0.3786 1
O2 O 0.0228 0.2744 0.0668 1
O3 O 0.0526 0.3056 0.7055 1
O4 O 0.0935 0.3413 0.3235 1
O5 O 0.1594 0.9081 0.1682 1
O6 O 0.1970 0.9414 0.7735 1
O7 O 0.2352 0.9799 0.4252 1
O8 O 0.2412 0.4874 0.1202 1
O9 O 0.2588 0.6940 0.5528 1
O10 O 0.2950 0.2382 0.9292 1
O11 O 0.3178 0.5625 0.8312 1
O12 O 0.4377 0.1861 0.6558 1
O13 O 0.4581 0.5041 0.5568 1
O14 O 0.4931 0.0468 0.9297 1
O15 O 0.5175 0.2620 0.3684 1
O16 O 0.5230 0.7741 0.0680 1
O17 O 0.5538 0.8034 0.7062 1
O18 O 0.5969 0.8433 0.3239 1
O19 O 0.6574 0.4059 0.1614 1
O20 O 0.7005 0.4484 0.7806 1
O21 O 0.7318 0.4818 0.4162 1
O22 O 0.7409 0.9884 0.1187 1
O23 O 0.7539 0.2019 0.5578 1
O24 O 0.8015 0.7460 0.9322 1
O25 O 0.8164 0.0646 0.8309 1
O26 O 0.9366 0.6851 0.6557 1
O27 O 0.9507 0.0087 0.5525 1
O28 O 0.9991 0.5526 0.9326 1
```

Top 10 peaks for 10 to 90 degrees two-theta, in order of rising 2θ:
d_spacing  I/Imax
4.617  43
3.771  37
3.490  49
3.429  100
3.048  38
2.738  46
2.731  35
2.658  31
2.639  67
1.714  33

=====

Diffraction record for Na6Fe2B4AsO16. The XRD peak list is simulated, not measured: it uses a structure optimized by DFT (PBE+U) and copper Kα.

Structure:
Cell lengths 14.2329, 14.2329, 14.2329 Å; angles 90.00, 90.00, 90.00 degrees
Space group Fd-3 (No. 203, origin choice 2)
Symmetry-distinct sites (fractional):
Na (0.0901, 0.3750, 0.3750) (multiplicity 48)
Fe (0.0000, 0.0000, 0.5000) (multiplicity 16)
B (0.0382, 0.0382, 0.7118) (multiplicity 32)
As (0.1250, 0.1250, 0.1250) (multiplicity 8)
O (0.0219, 0.1116, 0.7730) (multiplicity 96)
O (0.0549, 0.0549, 0.0549) (multiplicity 32)

Top 10 peaks for 10 to 90 degrees two-theta, in order of rising 2θ:
d_spacing  I/Imax
5.032  25
4.291  100
4.109  18
2.739  75
2.516  59
1.993  15
1.643  32
1.492  16
1.453  16
1.376  16

=====

Diffraction record for Na3MnBAsO7. The XRD peak list is simulated, not measured: it uses a structure optimized by DFT (PBE+U) and copper Kα.

Structure:
```
data_Na3MnBAsO7
_chemical_formula_sum 'Na6 Mn2 B2 As2 O14'
_cell_length_a 5.2880
_cell_length_b 7.2038
_cell_length_c 8.9490
_cell_angle_alpha 90.00
_cell_angle_beta 92.07
_cell_angle_gamma 90.00
_space_group_name_H-M_alt 'P 1 21/m 1'
_space_group_IT_number 11
_space_group_name_Hall '-P 2yb'
loop_
_atom_site_label
_atom_site_type_symbol
_atom_site_fract_x
_atom_site_fract_y
_atom_site_fract_z
_atom_site_occupancy
Na1 Na 0.2347 0.2500 0.0771 1
Na2 Na 0.2549 0.5046 0.7487 1
Mn1 Mn 0.2161 0.7500 0.3307 1
B1 B 0.2780 0.7500 0.0641 1
As1 As 0.2810 0.2500 0.4187 1
O1 O 0.0416 0.7500 0.1319 1
O2 O 0.1289 0.2500 0.5855 1
O3 O 0.2116 0.0612 0.3085 1
O4 O 0.3111 0.7500 0.9162 1
O5 O 0.3961 0.7500 0.5331 1
O6 O 0.4737 0.7500 0.1756 1
```

Top 10 peaks for 10 to 90 degrees two-theta, in order of rising 2θ:
d_spacing  I/Imax
4.623  35
3.803  40
3.602  100
3.476  39
3.041  32
2.841  52
2.806  77
2.641  85
1.901  38
1.801  33

=====

Diffraction record for Na3VBAsO7. The XRD peak list is simulated, not measured: it uses a structure optimized by DFT (PBE+U) and copper Kα.

Structure:
```
data_Na3VBAsO7
_chemical_formula_sum 'Na6 V2 B2 As2 O14'
_cell_length_a 5.3990
_cell_length_b 6.7627
_cell_length_c 9.1623
_cell_angle_alpha 90.00
_cell_angle_beta 91.67
_cell_angle_gamma 90.00
_space_group_name_H-M_alt 'P 1 21/m 1'
_space_group_IT_number 11
_space_group_name_Hall '-P 2yb'
loop_
_atom_site_label
_atom_site_type_symbol
_atom_site_fract_x
_atom_site_fract_y
_atom_site_fract_z
_atom_site_occupancy
Na1 Na 0.2425 0.2500 0.0735 1
Na2 Na 0.2480 0.0008 0.7593 1
V1 V 0.2174 0.7500 0.3276 1
B1 B 0.2732 0.7500 0.0625 1
As1 As 0.2853 0.2500 0.4234 1
O1 O 0.0386 0.7500 0.1246 1
O2 O 0.1284 0.2500 0.5835 1
O3 O 0.2053 0.0532 0.3115 1
O4 O 0.3177 0.7500 0.9185 1
O5 O 0.4003 0.7500 0.5388 1
O6 O 0.4656 0.7500 0.1728 1
```

Top 10 peaks for 10 to 90 degrees two-theta, in order of rising 2θ:
d_spacing  I/Imax
4.710  38
3.798  55
3.543  50
3.381  91
3.068  40
2.782  33
2.747  52
2.721  85
2.696  100
1.691  45